Record 1
For Ho2ErZn5, a cell relaxed with PBE gives the simulated PXRD pattern in this record (Cu Kα, 1.54184 Å).
Intensities are scaled so that the largest is 100.

Peak list (10 most intense, 2θ from 10° to 90°, low angle first)
d [Å]	intensity	hkl
3.506	7	0 0 4
3.385	14	1 1 0
3.344	12	1 0 3
2.435	100	1 1 4
2.393	52	2 0 0
1.753	7	0 0 8
1.692	18	2 2 0
1.414	14	2 0 8
1.390	33	3 1 4
1.218	8	2 2 8

Crystal structure
```
data_Ho2ErZn5
_chemical_formula_sum 'Ho4 Er2 Zn10'
_symmetry_space_group_name_H-M 'I 4/m m m'
_symmetry_Int_Tables_number 139
_symmetry_space_group_name_Hall '-I 4 2'
_cell_length_a 4.787
_cell_length_b 4.787
_cell_length_c 14.025
_cell_angle_alpha 90.00
_cell_angle_beta 90.00
_cell_angle_gamma 90.00
loop_
_atom_site_label
_atom_site_type_symbol
_atom_site_fract_x
_atom_site_fract_y
_atom_site_fract_z
Ho1 Ho 0.000 0.000 0.234
Er1 Er 0.000 0.000 0.500
Zn1 Zn 0.000 0.000 0.000
Zn2 Zn 0.000 0.500 0.114
```

***

Record 2
For La3Sm8Sc, a cell relaxed with PBE gives the simulated PXRD pattern in this record (Cu Kα, 1.54184 Å).
Intensities are scaled so that the largest is 100.

Peak list (10 most intense, 2θ from 10° to 90°, low angle first)
d [Å]	intensity	hkl
3.730	92	2 1 1
3.494	99	2 0 2
3.119	85	2 2 0
2.863	77	0 0 4
2.742	75	2 2 2
2.508	100	3 1 2
2.109	50	2 2 4
2.058	70	4 0 2
1.656	32	5 1 2
1.575	32	3 1 6

Crystal structure
```
data_La3Sm8Sc
_chemical_formula_sum 'La6 Sm16 Sc2'
_symmetry_space_group_name_H-M 'I -4 2 m'
_symmetry_Int_Tables_number 121
_symmetry_space_group_name_Hall 'I -4 2'
_cell_length_a 8.821
_cell_length_b 8.821
_cell_length_c 11.452
_cell_angle_alpha 90.00
_cell_angle_beta 90.00
_cell_angle_gamma 90.00
loop_
_atom_site_label
_atom_site_type_symbol
_atom_site_fract_x
_atom_site_fract_y
_atom_site_fract_z
La1 La 0.000 0.000 0.000
La2 La 0.000 0.500 0.250
Sm1 Sm 0.123 0.123 0.743
Sm2 Sm 0.237 0.237 0.479
Sc1 Sc 0.000 0.000 0.500
```

***

Record 3
For Dy12Ag6Pt, a cell relaxed with PBE gives the simulated PXRD pattern in this record (Cu Kα, 1.54184 Å).
Intensities are scaled so that the largest is 100.

Peak list (10 most intense, 2θ from 10° to 90°, low angle first)
d [Å]	intensity	hkl
3.590	19	2 1 1
3.214	29	1 0 4
2.678	100	1 3 1
2.659	28	0 3 3
2.622	20	0 1 5
2.534	47	3 1 2
2.510	58	3 -1 4
2.408	48	2 2 3
2.196	19	3 -2 5
1.576	18	7 -4 2

Crystal structure
```
data_Dy12Ag6Pt
_chemical_formula_sum 'Dy36 Ag18 Pt3'
_symmetry_space_group_name_H-M 'R -3'
_symmetry_Int_Tables_number 148
_symmetry_space_group_name_Hall '-R 3'
_cell_length_a 11.3699
_cell_length_b 11.3699
_cell_length_c 13.6029
_cell_angle_alpha 90.00
_cell_angle_beta 90.00
_cell_angle_gamma 120.00
loop_
_atom_site_label
_atom_site_type_symbol
_atom_site_fract_x
_atom_site_fract_y
_atom_site_fract_z
Dy1 Dy 0.0207 0.1839 0.3502
Dy2 Dy 0.0526 0.8519 0.8998
Ag1 Ag 0.0122 0.4136 0.2164
Pt1 Pt 0.0000 0.0000 0.5000
```

***

Record 4
For Zn3CuRh2, a cell relaxed with PBE gives the simulated PXRD pattern in this record (Cu Kα, 1.54184 Å).
Intensities are scaled so that the largest is 100.

Peak list (10 most intense, 2θ from 10° to 90°, low angle first)
d [Å]	intensity	hkl
3.928	2	1 1 0
2.153	100	1 3 1
2.085	22	0 6 0
2.069	22	2 0 0
1.583	9	0 0 2
1.468	14	2 6 0
1.261	8	0 6 2
1.257	8	2 0 2
1.217	14	1 9 1
1.210	14	3 3 1

Crystal structure
```
data_Zn3CuRh2
_chemical_formula_sum 'Zn6 Cu2 Rh4'
_symmetry_space_group_name_H-M 'C m m m'
_symmetry_Int_Tables_number 65
_symmetry_space_group_name_Hall '-C 2 2'
_cell_length_a 4.137
_cell_length_b 12.511
_cell_length_c 3.166
_cell_angle_alpha 90.00
_cell_angle_beta 90.00
_cell_angle_gamma 90.00
loop_
_atom_site_label
_atom_site_type_symbol
_atom_site_fract_x
_atom_site_fract_y
_atom_site_fract_z
Zn1 Zn 0.000 0.000 0.000
Zn2 Zn 0.000 0.330 0.000
Cu1 Cu 0.000 0.500 0.500
Rh1 Rh 0.000 0.160 0.500
```